# PuH5Rh
Simulated PXRD pattern, CuKα. Input: a structure optimized by DFT (PBE).
Kinematic intensities with the Lorentz-polarization factor, no thermal factor.

Peak list (10 most intense, 2θ from 10° to 90°, in order of rising 2θ)
d/Å, intensity
3.887, 25
3.312, 82
2.996, 100
2.401, 27
2.221, 88
1.944, 40
1.659, 18
1.449, 23
1.365, 19
1.349, 18

Crystal structure
```
14
Lattice="3.8336 0.0000 0.0000 0.0000 4.8011 0.0000 0.0000 0.0000 6.6214" Properties=species:S:1:pos:R:3 pbc="T T T"
Pu 0.0000 0.0000 0.0000
Pu 1.9168 2.4005 3.3107
H 0.0000 1.2477 2.1837
H 0.0000 1.2477 4.4377
H 0.0000 2.4005 0.0000
H 0.0000 3.5534 2.1837
H 0.0000 3.5534 4.4377
H 1.9168 0.0000 3.3107
H 1.9168 1.1528 1.1270
H 1.9168 1.1528 5.4944
H 1.9168 3.6483 1.1270
H 1.9168 3.6483 5.4944
Rh 0.0000 0.0000 3.3107
Rh 1.9168 2.4005 0.0000
```

# PuH10Rh3
Simulated PXRD pattern, CuKα. Input: a structure optimized by DFT (PBE).
Kinematic intensities with the Lorentz-polarization factor, no thermal factor.

Peak list (10 most intense, 2θ from 10° to 90°, in order of rising 2θ)
d/Å, intensity
4.706, 14
3.328, 14
2.717, 100
2.353, 49
2.105, 9
1.921, 6
1.664, 34
1.419, 39
1.358, 11
1.176, 5

Crystal structure
```
28
Lattice="0.0000 4.7058 4.7058 4.7058 0.0000 4.7058 4.7058 4.7058 0.0000" Properties=species:S:1:pos:R:3 pbc="T T T"
Pu 2.3529 2.3529 2.3529
Pu 7.0587 7.0587 7.0587
H 1.5121 1.5121 0.0000
H 3.1937 3.1937 0.0000
H 1.5121 0.0000 1.5121
H 4.7058 3.1937 1.5121
H 3.1937 0.0000 3.1937
H 4.7058 1.5121 3.1937
H 5.7124 3.6992 3.6992
H 0.0000 1.5121 1.5121
H 3.1937 4.7058 1.5121
H 3.1937 1.5121 4.7058
H 3.6992 3.6992 3.6992
H 5.7124 5.7124 3.6992
H 5.7124 3.6992 5.7124
H 3.6992 5.7124 3.6992
H 3.6992 3.6992 5.7124
H 5.7124 5.7124 5.7124
H 0.0000 3.1937 3.1937
H 1.5121 4.7058 3.1937
H 1.5121 3.1937 4.7058
H 3.6992 5.7124 5.7124
Rh 4.7058 4.7058 2.4872
Rh 4.7058 2.4872 4.7058
Rh 6.9244 4.7058 4.7058
Rh 2.4872 4.7058 4.7058
Rh 4.7058 6.9244 4.7058
Rh 4.7058 4.7058 6.9244
```

# Pu2H4Rh
Simulated PXRD pattern, CuKα. Input: a structure optimized by DFT (PBE).
Kinematic intensities with the Lorentz-polarization factor, no thermal factor.

Peak list (10 most intense, 2θ from 10° to 90°, in order of rising 2θ)
d/Å, intensity
3.074, 37
3.018, 71
2.967, 100
2.595, 32
2.520, 37
2.505, 51
2.462, 23
2.125, 30
1.802, 22
1.620, 34

Crystal structure
```
14
Lattice="4.2525 0.0000 0.0000 0.0000 5.0096 0.0000 -0.2419 0.0000 7.7862" Properties=species:S:1:pos:R:3 pbc="T T T"
Pu 0.9864 1.2524 0.9718
Pu 0.9282 3.7572 3.6916
Pu 3.0825 1.2524 4.0946
Pu 3.0242 3.7572 6.8144
H 0.9454 1.2524 3.2434
H 0.8933 2.9318 5.9605
H 0.8933 4.5827 5.9605
H 1.1763 3.7572 1.1327
H 2.8344 1.2524 6.6535
H 3.1174 0.4270 1.8257
H 3.1174 2.0778 1.8257
H 3.0653 3.7572 4.5428
Rh 1.0691 1.2524 6.0953
Rh 2.9416 3.7572 1.6909
```